For La4Cu3MoO12, a DFT-relaxed cell (PBE+U, Alexandria) gives the theoretical XRD peak list in this record (Cu Kα, 1.54184 Å).
Peak positions follow from Bragg's law for the DFT cell and can differ from measured ones.

Most intense lines, 2θ = 5–70°, by intensity:
2θ = 30.5°, I = 100, hkl 1 2 2; 2θ = 57.0°, I = 52, hkl 3 4 2; 2θ = 25.7°, I = 34, hkl 2 0 0; 2θ = 32.7°, I = 29, hkl 0 4 0; 2θ = 45.3°, I = 29, hkl 3 0 2; 2θ = 42.1°, I = 28, hkl 2 4 0; 2θ = 27.0°, I = 25, hkl 1 1 -2; 2θ = 45.4°, I = 15, hkl 0 0 4

Cell and atoms:
Cell lengths 6.9409, 10.9427, 7.9932 Å; angles 90.00, 90.01, 90.00 degrees
Space group P2_1/m (No. 11)
Unique sites:
1 La 0.2379 0.9997 0.1303
2 La 0.2486 0.0030 0.6204
3 Cu 0.1093 0.7500 0.8404
4 Cu 0.1127 0.7500 0.4110
5 Cu 0.4550 0.2500 0.3681
6 Mo 0.4191 0.2500 0.8780
7 O 0.0821 0.5825 0.8709
8 O 0.0859 0.5836 0.3788
9 O 0.2639 0.7500 0.6268
10 O 0.2855 0.2500 0.0782
11 O 0.2862 0.2500 0.6778
12 O 0.3136 0.7500 0.1239
13 O 0.4158 0.0842 0.3735
14 O 0.4186 0.0736 0.8772